Record 1
LaZnGa2Ag: simulated powder diffraction line list (Cu Kα (weighted mean of Kα1 and Kα2)), based on a structure optimized by DFT (GGA-PBE).
Peak positions follow from Bragg's law for the DFT cell and can differ from measured ones.

```
LaZnGa2Ag
1.0
-2.205 2.205 5.337
2.205 -2.205 5.337
2.205 2.205 -5.337
La Zn Ga Ag
1 1 2 1
direct
0.000 0.000 0.000
0.750 0.250 0.500
0.384 0.384 0.000
0.616 0.616 0.000
0.250 0.750 0.500
```

Most intense lines, 10 to 90 degrees two-theta, in order of rising 2θ:
2θ = 32.3°, rel. 49; 2θ = 33.3°, rel. 100; 2θ = 40.9°, rel. 54; 2θ = 44.7°, rel. 14; 2θ = 47.3°, rel. 23; 2θ = 53.1°, rel. 23; 2θ = 59.3°, rel. 18; 2θ = 64.3°, rel. 18; 2θ = 69.7°, rel. 22; 2θ = 85.0°, rel. 12



Record 2
Cr2HgH: simulated powder diffraction line list (Cu Kα (weighted mean of Kα1 and Kα2)), based on a structure optimized by DFT (GGA-PBE).
Peak positions follow from Bragg's law for the DFT cell and can differ from measured ones.

```
Cr2HgH
1.0
-2.410 2.410 4.353
2.410 -2.410 4.353
2.410 2.410 -4.353
Cr Hg H
4 2 2
direct
0.000 0.000 0.000
0.000 0.000 0.500
0.000 0.500 0.000
0.500 0.000 0.500
0.375 0.625 0.750
0.625 0.375 0.250
0.125 0.875 0.250
0.875 0.125 0.750
```

Most intense lines, 10 to 90 degrees two-theta, in order of rising 2θ:
2θ = 21.1°, rel. 53; 2θ = 33.4°, rel. 100; 2θ = 36.1°, rel. 75; 2θ = 37.3°, rel. 37; 2θ = 43.2°, rel. 91; 2θ = 56.2°, rel. 21; 2θ = 57.0°, rel. 22; 2θ = 64.8°, rel. 30; 2θ = 70.1°, rel. 26; 2θ = 71.4°, rel. 20



Record 3
TlS5N: simulated powder diffraction line list (Cu Kα (weighted mean of Kα1 and Kα2)), based on a structure optimized by DFT (GGA-PBE).
Peak positions follow from Bragg's law for the DFT cell and can differ from measured ones.

```
TlS5N
1.0
4.419 0.000 0.000
1.007 6.071 0.000
0.284 1.100 8.122
Tl S N
1 5 1
direct
0.000 0.000 0.000
0.031 0.881 0.455
0.273 0.473 0.941
0.320 0.045 0.570
0.573 0.546 0.100
0.703 0.807 0.631
0.539 0.783 0.136
```

Most intense lines, 10 to 90 degrees two-theta, in order of rising 2θ:
2θ = 10.9°, rel. 100; 2θ = 14.7°, rel. 77; 2θ = 21.9°, rel. 57; 2θ = 23.2°, rel. 31; 2θ = 24.7°, rel. 52; 2θ = 26.6°, rel. 28; 2θ = 27.1°, rel. 32; 2θ = 29.9°, rel. 34; 2θ = 30.3°, rel. 27; 2θ = 33.1°, rel. 22



Record 4
Mg6TlPb3: simulated powder diffraction line list (Cu Kα (weighted mean of Kα1 and Kα2)), based on a structure optimized by DFT (GGA-PBE).
Peak positions follow from Bragg's law for the DFT cell and can differ from measured ones.

```
Mg6TlPb3
1.0
8.820 0.000 0.000
0.000 5.377 0.000
-4.177 0.000 10.680
Mg Tl Pb
12 2 6
direct
0.040 0.250 0.425
0.172 0.750 0.176
0.250 0.250 0.022
0.340 0.250 0.324
0.361 0.750 0.781
0.435 0.250 0.630
0.565 0.750 0.370
0.639 0.250 0.219
0.660 0.750 0.676
0.750 0.750 0.978
0.828 0.250 0.824
0.960 0.750 0.575
0.458 0.750 0.081
0.542 0.250 0.919
0.035 0.750 0.872
0.136 0.250 0.721
0.283 0.750 0.480
0.717 0.250 0.520
0.864 0.750 0.279
0.965 0.250 0.128
```

Most intense lines, 10 to 90 degrees two-theta, in order of rising 2θ:
2θ = 22.9°, rel. 15; 2θ = 23.2°, rel. 100; 2θ = 25.9°, rel. 41; 2θ = 32.7°, rel. 26; 2θ = 33.3°, rel. 45; 2θ = 35.0°, rel. 62; 2θ = 35.1°, rel. 71; 2θ = 36.8°, rel. 26; 2θ = 42.7°, rel. 23; 2θ = 47.4°, rel. 20